Diffraction record for Li2Cr2O9. The powder diffraction line list is theoretical, not measured: it uses a structure optimized by DFT (GGA+U) and a wavelength of 1.5418 Å.
Peak positions follow from Bragg's law for the DFT cell and can differ from measured ones.

Structural model:
a b c (Å): 8.409 8.409 6.511
angles (deg): 102.09 102.09 59.92
Sites, in units of the cell vectors:
Li 0.149 0.317 0.357
Li 0.317 0.149 0.857
Li 0.683 0.851 0.143
Li 0.851 0.683 0.643
Cr 0.180 0.589 0.108
Cr 0.411 0.820 0.392
Cr 0.589 0.180 0.608
Cr 0.820 0.411 0.892
O 0.014 0.291 0.734
O 0.043 0.624 0.442
O 0.086 0.676 0.888
O 0.245 0.367 0.100
O 0.291 0.014 0.234
O 0.324 0.914 0.612
O 0.356 0.644 0.250
O 0.367 0.245 0.600
O 0.376 0.957 0.058
O 0.624 0.043 0.942
O 0.633 0.755 0.400
O 0.644 0.356 0.750
O 0.676 0.086 0.388
O 0.709 0.986 0.766
O 0.755 0.633 0.900
O 0.914 0.324 0.112
O 0.957 0.376 0.558
O 0.986 0.709 0.266

The 10 most intense peaks (15 to 90 degrees two-theta), by intensity:
| 2θ (°) | intensity |
| --- | --- |
| 17.5 | 100.0 |
| 28.3 | 39.7 |
| 21.2 | 38.8 |
| 25.2 | 33.1 |
| 33.1 | 30.4 |
| 26.9 | 16.0 |
| 46.4 | 9.3 |
| 28.0 | 8.8 |
| 51.9 | 8.7 |
| 44.4 | 8.1 |